Starting from a cell relaxed with GGA-PBE, the PXRD pattern of La2Ho13 was calculated for Cu Kα, 1.54184 Å.
No peak broadening, texture or thermal motion is included.

Atomic structure:
Lattice parameters (Å, degrees): 9.792 9.792 9.792 55.69 55.69 55.69
Atoms (fractional coordinates):
La (0.245, 0.245, 0.245)
La (0.755, 0.755, 0.755)
Ho (0.000, 0.000, 0.000)
Ho (0.011, 0.011, 0.652)
Ho (0.011, 0.652, 0.011)
Ho (0.237, 0.237, 0.611)
Ho (0.237, 0.611, 0.237)
Ho (0.348, 0.989, 0.989)
Ho (0.389, 0.763, 0.763)
Ho (0.611, 0.237, 0.237)
Ho (0.652, 0.011, 0.011)
Ho (0.763, 0.389, 0.763)
Ho (0.763, 0.763, 0.389)
Ho (0.989, 0.348, 0.989)
Ho (0.989, 0.989, 0.348)

The 10 most intense peaks (5° ≤ 2θ ≤ 70°), sorted by position:
d/Å  2θ/deg  Rel. int.
8.245  10.73  34
7.544  11.73  57
3.911  22.74  34
2.972  30.07  37
2.880  31.05  52
2.695  33.25  100
2.637  33.99  37
2.561  35.03  43
2.515  35.71  54
1.625  56.65  31

Starting from a cell relaxed with GGA-PBE, the PXRD pattern of Sm12DyTl3 was calculated for Cu Kα, 1.54184 Å.
No peak broadening, texture or thermal motion is included.

Atomic structure:
Lattice parameters (Å, degrees): 4.948 4.948 20.224 90.00 90.00 90.00
Atoms (fractional coordinates):
Sm (0.000, 0.000, 0.000)
Sm (0.000, 0.000, 0.246)
Sm (0.000, 0.000, 0.500)
Sm (0.000, 0.000, 0.754)
Sm (0.000, 0.500, 0.123)
Sm (0.000, 0.500, 0.370)
Sm (0.000, 0.500, 0.630)
Sm (0.000, 0.500, 0.877)
Sm (0.500, 0.000, 0.123)
Sm (0.500, 0.000, 0.370)
Sm (0.500, 0.000, 0.630)
Sm (0.500, 0.000, 0.877)
Dy (0.500, 0.500, 0.500)
Tl (0.500, 0.500, 0.000)
Tl (0.500, 0.500, 0.243)
Tl (0.500, 0.500, 0.757)

The 10 most intense peaks (5° ≤ 2θ ≤ 70°), sorted by position:
d/Å  2θ/deg  Rel. int.
2.877  31.09  100
2.646  33.88  1
2.528  35.51  17
2.474  36.32  33
1.768  51.70  24
1.749  52.30  12
1.664  55.21  1
1.518  61.03  14
1.495  62.10  28
1.438  64.81  12

Starting from a cell relaxed with GGA-PBE, the PXRD pattern of Pr2Ho2Tm3 was calculated for Cu Kα, 1.54184 Å.
No peak broadening, texture or thermal motion is included.

Atomic structure:
Lattice parameters (Å, degrees): 6.284 3.535 10.700 90.00 90.17 90.00
Atoms (fractional coordinates):
Pr (0.001, 0.000, 0.311)
Pr (0.999, 0.000, 0.689)
Ho (0.499, 0.500, 0.772)
Ho (0.501, 0.500, 0.228)
Tm (0.247, 0.000, 0.000)
Tm (0.500, 0.000, 0.500)
Tm (0.753, 0.000, 0.000)

The 10 most intense peaks (5° ≤ 2θ ≤ 70°), sorted by position:
d/Å  2θ/deg  Rel. int.
3.102  28.78  38
3.081  28.98  24
3.014  29.63  35
2.949  30.31  39
2.709  33.06  39
2.671  33.55  100
2.511  35.76  21
2.294  39.28  45
1.767  51.73  23
1.708  53.67  21

Starting from a cell relaxed with GGA-PBE, the PXRD pattern of Nb6ZnRh12 was calculated for Cu Kα, 1.54184 Å.
No peak broadening, texture or thermal motion is included.

Atomic structure:
Lattice parameters (Å, degrees): 6.709 6.709 6.709 91.19 91.19 91.19
Atoms (fractional coordinates):
Nb (0.201, 0.381, 0.764)
Nb (0.236, 0.799, 0.619)
Nb (0.381, 0.764, 0.201)
Nb (0.619, 0.236, 0.799)
Nb (0.764, 0.201, 0.381)
Nb (0.799, 0.619, 0.236)
Zn (0.500, 0.500, 0.500)
Rh (0.041, 0.945, 0.293)
Rh (0.055, 0.707, 0.959)
Rh (0.145, 0.478, 0.362)
Rh (0.293, 0.041, 0.945)
Rh (0.362, 0.145, 0.478)
Rh (0.478, 0.362, 0.145)
Rh (0.522, 0.638, 0.855)
Rh (0.638, 0.855, 0.522)
Rh (0.707, 0.959, 0.055)
Rh (0.855, 0.522, 0.638)
Rh (0.945, 0.293, 0.041)
Rh (0.959, 0.055, 0.707)

The 10 most intense peaks (5° ≤ 2θ ≤ 70°), sorted by position:
d/Å  2θ/deg  Rel. int.
3.025  29.53  11
2.974  30.05  11
2.691  33.30  15
2.257  39.95  100
2.235  40.35  33
2.194  41.14  32
2.134  42.35  51
2.107  42.92  53
2.026  44.73  25
1.842  49.48  9

Starting from a cell relaxed with GGA-PBE, the PXRD pattern of RbBi3Pd2 was calculated for Cu Kα, 1.54184 Å.
No peak broadening, texture or thermal motion is included.

Atomic structure:
Lattice parameters (Å, degrees): 8.112 8.112 5.957 90.00 90.00 64.71
Atoms (fractional coordinates):
Rb (0.147, 0.853, 0.750)
Rb (0.853, 0.147, 0.250)
Bi (0.003, 0.595, 0.250)
Bi (0.405, 0.997, 0.250)
Bi (0.414, 0.586, 0.250)
Bi (0.586, 0.414, 0.750)
Bi (0.595, 0.003, 0.750)
Bi (0.997, 0.405, 0.750)
Pd (0.324, 0.324, 0.000)
Pd (0.324, 0.324, 0.500)
Pd (0.676, 0.676, 0.000)
Pd (0.676, 0.676, 0.500)

The 10 most intense peaks (5° ≤ 2θ ≤ 70°), sorted by position:
d/Å  2θ/deg  Rel. int.
7.334  12.07  62
4.624  19.19  31
3.345  26.65  46
3.123  28.58  100
2.978  30.00  26
2.455  36.61  41
2.396  37.54  91
2.312  38.96  52
2.262  39.86  32
2.248  40.11  24

Starting from a cell relaxed with GGA-PBE, the PXRD pattern of Na2NdCr2N4 was calculated for Cu Kα, 1.54184 Å.
No peak broadening, texture or thermal motion is included.

Atomic structure:
Lattice parameters (Å, degrees): 5.997 5.997 8.690 125.79 125.79 32.86
Atoms (fractional coordinates):
Na (0.137, 0.137, 0.236)
Na (0.863, 0.863, 0.764)
Nd (0.000, 0.000, 0.500)
Cr (0.337, 0.337, 0.124)
Cr (0.663, 0.663, 0.876)
N (0.233, 0.233, 0.848)
N (0.475, 0.475, 0.688)
N (0.525, 0.525, 0.312)
N (0.767, 0.767, 0.152)

The 10 most intense peaks (5° ≤ 2θ ≤ 70°), sorted by position:
d/Å  2θ/deg  Rel. int.
5.740  15.44  100
3.043  29.35  15
2.870  31.16  33
2.678  33.46  35
2.631  34.07  24
2.477  36.26  29
2.182  41.39  26
1.792  50.97  16
1.697  54.05  12
1.460  63.76  14

Starting from a cell relaxed with GGA-PBE, the PXRD pattern of Ti5NiOs4 was calculated for Cu Kα, 1.54184 Å.
No peak broadening, texture or thermal motion is included.

Atomic structure:
Lattice parameters (Å, degrees): 3.098 3.098 15.220 90.00 90.00 90.00
Atoms (fractional coordinates):
Ti (0.000, 0.000, 0.000)
Ti (0.000, 0.000, 0.203)
Ti (0.000, 0.000, 0.405)
Ti (0.000, 0.000, 0.595)
Ti (0.000, 0.000, 0.797)
Ni (0.500, 0.500, 0.500)
Os (0.500, 0.500, 0.102)
Os (0.500, 0.500, 0.306)
Os (0.500, 0.500, 0.694)
Os (0.500, 0.500, 0.898)

The 10 most intense peaks (5° ≤ 2θ ≤ 70°), sorted by position:
d/Å  2θ/deg  Rel. int.
15.220  5.81  21
3.098  28.82  40
3.043  29.35  22
2.190  41.21  52
2.171  41.60  100
1.778  51.39  17
1.549  59.70  17
1.522  60.87  8
1.385  67.63  8
1.380  67.90  8

Starting from a cell relaxed with GGA-PBE, the PXRD pattern of Pr3Nd7Dy2 was calculated for Cu Kα, 1.54184 Å.
No peak broadening, texture or thermal motion is included.

Atomic structure:
Lattice parameters (Å, degrees): 5.996 3.646 19.356 90.00 93.09 90.00
Atoms (fractional coordinates):
Pr (0.000, 0.000, 0.000)
Pr (0.281, 0.500, 0.634)
Pr (0.719, 0.500, 0.366)
Nd (0.186, 0.500, 0.146)
Nd (0.243, 0.000, 0.464)
Nd (0.312, 0.000, 0.819)
Nd (0.500, 0.500, 0.000)
Nd (0.688, 0.000, 0.181)
Nd (0.757, 0.000, 0.536)
Nd (0.814, 0.500, 0.854)
Dy (0.210, 0.000, 0.295)
Dy (0.790, 0.000, 0.705)

The 10 most intense peaks (5° ≤ 2θ ≤ 70°), sorted by position:
d/Å  2θ/deg  Rel. int.
3.221  27.69  31
2.991  29.87  54
2.983  29.96  40
2.940  30.40  100
2.906  30.77  81
2.835  31.56  24
2.774  32.27  47
2.652  33.80  37
1.823  50.03  21
1.556  59.40  19

Starting from a cell relaxed with GGA-PBE, the PXRD pattern of Th4In2Co was calculated for Cu Kα, 1.54184 Å.
No peak broadening, texture or thermal motion is included.

Atomic structure:
Lattice parameters (Å, degrees): 6.669 3.569 9.413 90.00 110.66 90.00
Atoms (fractional coordinates):
Th (0.171, 0.000, 0.339)
Th (0.269, 0.500, 0.000)
Th (0.731, 0.500, 0.000)
Th (0.829, 0.000, 0.661)
In (0.332, 0.500, 0.663)
In (0.668, 0.500, 0.337)
Co (0.000, 0.000, 0.000)

The 10 most intense peaks (5° ≤ 2θ ≤ 70°), sorted by position:
d/Å  2θ/deg  Rel. int.
3.308  26.95  45
3.118  28.63  88
3.098  28.82  63
2.936  30.45  96
2.774  32.28  100
2.658  33.72  47
2.437  36.89  41
2.347  38.34  59
1.875  48.56  54
1.796  50.83  40

Starting from a cell relaxed with GGA-PBE, the PXRD pattern of Mg4H5Ir was calculated for Cu Kα, 1.54184 Å.
No peak broadening, texture or thermal motion is included.

Atomic structure:
Lattice parameters (Å, degrees): 4.756 5.548 5.038 90.00 110.46 90.00
Atoms (fractional coordinates):
Mg (0.000, 0.000, 0.000)
Mg (0.289, 0.500, 0.766)
Mg (0.639, 0.258, 0.326)
Mg (0.639, 0.742, 0.326)
H (0.119, 0.245, 0.395)
H (0.119, 0.755, 0.395)
H (0.604, 0.000, 0.059)
H (0.756, 0.000, 0.598)
H (0.798, 0.500, 0.919)
Ir (0.113, 0.500, 0.211)

The 10 most intense peaks (5° ≤ 2θ ≤ 70°), sorted by position:
d/Å  2θ/deg  Rel. int.
5.548  15.97  100
4.720  18.80  86
4.456  19.92  48
4.016  22.13  30
3.595  24.77  52
3.474  25.64  63
3.253  27.42  36
2.357  38.19  84
2.283  39.48  33
2.171  41.60  44

Starting from a cell relaxed with GGA-PBE, the PXRD pattern of NdSm3Sc6 was calculated for Cu Kα, 1.54184 Å.
No peak broadening, texture or thermal motion is included.

Atomic structure:
Lattice parameters (Å, degrees): 9.857 9.857 6.134 90.00 90.00 106.68
Atoms (fractional coordinates):
Nd (0.205, 0.795, 0.500)
Nd (0.795, 0.205, 0.000)
Sm (0.122, 0.279, 0.705)
Sm (0.279, 0.122, 0.205)
Sm (0.407, 0.593, 0.678)
Sm (0.593, 0.407, 0.178)
Sm (0.721, 0.878, 0.705)
Sm (0.878, 0.721, 0.205)
Sc (0.020, 0.544, 0.826)
Sc (0.054, 0.946, 0.832)
Sc (0.245, 0.755, 0.044)
Sc (0.265, 0.453, 0.181)
Sc (0.453, 0.265, 0.681)
Sc (0.456, 0.980, 0.826)
Sc (0.544, 0.020, 0.326)
Sc (0.547, 0.735, 0.181)
Sc (0.735, 0.547, 0.681)
Sc (0.755, 0.245, 0.544)
Sc (0.946, 0.054, 0.332)
Sc (0.980, 0.456, 0.326)

The 10 most intense peaks (5° ≤ 2θ ≤ 70°), sorted by position:
d/Å  2θ/deg  Rel. int.
4.847  18.31  45
3.323  26.83  38
3.235  27.57  38
2.943  30.37  22
2.894  30.90  20
2.859  31.28  26
2.800  31.96  100
2.636  34.01  31
2.389  37.66  22
1.551  59.61  26

Starting from a cell relaxed with GGA-PBE, the PXRD pattern of Ce2Tc3Ge4 was calculated for Cu Kα, 1.54184 Å.
No peak broadening, texture or thermal motion is included.

Atomic structure:
Lattice parameters (Å, degrees): 8.070 8.070 7.117 90.00 90.00 134.68
Atoms (fractional coordinates):
Ce (0.113, 0.887, 0.910)
Ce (0.387, 0.613, 0.410)
Ce (0.613, 0.387, 0.590)
Ce (0.887, 0.113, 0.090)
Tc (0.000, 0.000, 0.500)
Tc (0.016, 0.484, 0.750)
Tc (0.484, 0.016, 0.250)
Tc (0.500, 0.500, 0.000)
Tc (0.516, 0.984, 0.750)
Tc (0.984, 0.516, 0.250)
Ge (0.178, 0.822, 0.517)
Ge (0.193, 0.307, 0.750)
Ge (0.307, 0.193, 0.250)
Ge (0.322, 0.678, 0.017)
Ge (0.678, 0.322, 0.983)
Ge (0.693, 0.807, 0.750)
Ge (0.807, 0.693, 0.250)
Ge (0.822, 0.178, 0.483)

The 10 most intense peaks (5° ≤ 2θ ≤ 70°), sorted by position:
d/Å  2θ/deg  Rel. int.
2.661  33.68  40
2.623  34.19  20
2.513  35.72  70
2.386  37.69  27
2.342  38.44  100
2.261  39.88  31
2.036  44.50  19
1.655  55.54  19
1.554  59.48  19
1.502  61.77  17